[1]
Diffraction record for Li2CuRh2O6. The powder X-ray diffraction pattern is computed, not measured: it uses DFT lattice parameters and positions (PBE) and Cu Kα.
No peak broadening, texture or thermal motion is included.

abc: 5.3289 5.3289 5.0850
angles: 98.92 98.92 121.74
Element x y z (fractional)
Li1 0.1604 0.8396 0.0000
Li2 0.8396 0.1604 0.0000
Cu1 0.0000 0.0000 0.5000
Rh1 0.3346 0.6654 0.5000
Rh2 0.6654 0.3346 0.5000
O1 0.0513 0.4105 0.7227
O2 0.2420 0.2420 0.2918
O3 0.4105 0.0513 0.7227
O4 0.5895 0.9487 0.2773
O5 0.7580 0.7580 0.7082
O6 0.9487 0.5895 0.2773

Most intense lines, 5 to 70 degrees two-theta, sorted by position:
| d (Å) | Position (°2θ) | intensity |
| --- | --- | --- |
| 4.820 | 18.41 | 100 |
| 2.624 | 34.16 | 34 |
| 2.543 | 35.30 | 16 |
| 2.490 | 36.08 | 16 |
| 2.459 | 36.54 | 8 |
| 2.411 | 37.30 | 9 |
| 2.156 | 41.90 | 40 |
| 2.085 | 43.40 | 18 |
| 1.948 | 46.63 | 12 |
| 1.642 | 56.02 | 11 |
| 1.510 | 61.39 | 12 |
| 1.488 | 62.43 | 10 |



[2]
Diffraction record for Li2Cu2S3O12. The powder X-ray diffraction pattern is computed, not measured: it uses DFT lattice parameters and positions (PBE) and Cu Kα.
No peak broadening, texture or thermal motion is included.

abc: 8.0406 8.0406 9.3791
angles: 116.55 116.55 63.40
Element x y z (fractional)
Li1 0.1369 0.3220 0.0424
Li2 0.3220 0.1369 0.5424
Li3 0.6780 0.8631 0.4576
Li4 0.8631 0.6780 0.9576
Cu1 0.1384 0.6402 0.4649
Cu2 0.3598 0.8616 0.0351
Cu3 0.6402 0.1384 0.9649
Cu4 0.8616 0.3598 0.5351
S1 0.0425 0.9575 0.2500
S2 0.2416 0.4588 0.8287
S3 0.4588 0.2416 0.3287
S4 0.5412 0.7584 0.6713
S5 0.7584 0.5412 0.1713
S6 0.9575 0.0425 0.7500
O1 0.0287 0.1430 0.3971
O2 0.0678 0.7916 0.2931
O3 0.1036 0.4491 0.6540
O4 0.1430 0.0287 0.8971
O5 0.1432 0.5028 0.9473
O6 0.2084 0.9322 0.2069
O7 0.2574 0.3897 0.3076
O8 0.3386 0.6039 0.8797
O9 0.3897 0.2574 0.8076
O10 0.3961 0.6614 0.6203
O11 0.4491 0.1036 0.1540
O12 0.4972 0.8568 0.5527
O13 0.5028 0.1432 0.4473
O14 0.5509 0.8964 0.8460
O15 0.6039 0.3386 0.3797
O16 0.6103 0.7426 0.1924
O17 0.6614 0.3961 0.1203
O18 0.7426 0.6103 0.6924
O19 0.7916 0.0678 0.7931
O20 0.8568 0.4972 0.0527
O21 0.8570 0.9713 0.1029
O22 0.8964 0.5509 0.3460
O23 0.9322 0.2084 0.7069
O24 0.9713 0.8570 0.6029

Most intense lines, 5 to 70 degrees two-theta, sorted by position:
| d (Å) | Position (°2θ) | intensity |
| --- | --- | --- |
| 6.229 | 14.22 | 54 |
| 4.609 | 19.26 | 67 |
| 4.030 | 22.06 | 39 |
| 4.010 | 22.17 | 38 |
| 3.734 | 23.83 | 83 |
| 3.643 | 24.44 | 100 |
| 3.526 | 25.25 | 62 |
| 3.326 | 26.80 | 40 |
| 2.901 | 30.82 | 79 |
| 2.887 | 30.97 | 72 |
| 2.773 | 32.28 | 47 |
| 2.396 | 37.53 | 55 |



[3]
Diffraction record for LiCuSbO4. The powder X-ray diffraction pattern is computed, not measured: it uses DFT lattice parameters and positions (PBE) and Cu Kα.
No peak broadening, texture or thermal motion is included.

abc: 6.2768 6.2768 9.9228
angles: 90.00 90.00 125.05
Element x y z (fractional)
Li1 0.0007 0.9993 0.5000
Li2 0.3668 0.6332 0.4315
Li3 0.6332 0.3668 0.9315
Li4 0.9993 0.0007 0.0000
Cu1 0.1595 0.3410 0.7317
Cu2 0.3410 0.1595 0.2317
Cu3 0.6590 0.8405 0.7317
Cu4 0.8405 0.6590 0.2317
Sb1 0.1678 0.8322 0.7271
Sb2 0.3072 0.6928 0.9993
Sb3 0.6928 0.3072 0.4993
Sb4 0.8322 0.1678 0.2271
O1 0.0013 0.4537 0.3675
O2 0.0033 0.9967 0.8091
O3 0.1382 0.3517 0.0992
O4 0.1529 0.8471 0.1072
O5 0.3286 0.6714 0.6353
O6 0.3517 0.1382 0.5992
O7 0.4517 0.5483 0.8717
O8 0.4537 0.0013 0.8675
O9 0.5463 0.9987 0.3675
O10 0.5483 0.4517 0.3717
O11 0.6483 0.8618 0.0992
O12 0.6714 0.3286 0.1353
O13 0.8471 0.1529 0.6072
O14 0.8618 0.6483 0.5992
O15 0.9967 0.0033 0.3091
O16 0.9987 0.5463 0.8675

Most intense lines, 5 to 70 degrees two-theta, sorted by position:
| d (Å) | Position (°2θ) | intensity |
| --- | --- | --- |
| 5.569 | 15.91 | 17 |
| 4.961 | 17.88 | 26 |
| 4.856 | 18.27 | 17 |
| 4.563 | 19.45 | 100 |
| 3.569 | 24.95 | 28 |
| 2.782 | 32.18 | 45 |
| 2.681 | 33.42 | 28 |
| 2.645 | 33.90 | 49 |
| 2.485 | 36.14 | 47 |
| 2.029 | 44.66 | 35 |
| 1.571 | 58.79 | 22 |
| 1.563 | 59.12 | 16 |



[4]
Diffraction record for Li3CuSbO5. The powder X-ray diffraction pattern is computed, not measured: it uses DFT lattice parameters and positions (PBE) and Cu Kα.
No peak broadening, texture or thermal motion is included.

abc: 5.2193 5.5487 7.8214
angles: 103.77 103.33 104.58
Element x y z (fractional)
Li1 0.0000 0.0000 0.0000
Li2 0.0674 0.2527 0.7398
Li3 0.1957 0.4178 0.4458
Li4 0.2799 0.5943 0.1273
Li5 0.3767 0.8217 0.8325
Li6 0.5601 0.2288 0.2493
Cu1 0.4899 0.0135 0.5390
Cu2 0.7857 0.6194 0.6351
Sb1 0.6664 0.4178 0.9318
Sb2 0.8896 0.8200 0.3356
O1 0.0021 0.6229 0.8747
O2 0.1247 0.7951 0.5713
O3 0.2409 0.0096 0.3040
O4 0.3352 0.2394 0.9856
O5 0.4493 0.4688 0.7054
O6 0.5702 0.5992 0.3915
O7 0.6506 0.7828 0.0816
O8 0.7125 0.0828 0.8010
O9 0.8327 0.1500 0.4603
O10 0.9231 0.4645 0.1867

Most intense lines, 5 to 70 degrees two-theta, sorted by position:
| d (Å) | Position (°2θ) | intensity |
| --- | --- | --- |
| 4.965 | 17.86 | 100 |
| 4.804 | 18.47 | 90 |
| 4.731 | 18.76 | 25 |
| 4.252 | 20.89 | 75 |
| 3.656 | 24.35 | 65 |
| 2.947 | 30.33 | 28 |
| 2.509 | 35.79 | 20 |
| 2.482 | 36.19 | 54 |
| 2.359 | 38.16 | 71 |
| 2.086 | 43.39 | 52 |
| 2.058 | 43.99 | 50 |
| 1.556 | 59.38 | 35 |